(1)
# CeMnGe
Computed powder XRD pattern, Cu Kα X-rays. Input: a crystal structure in the Materials Project, relaxed with GGA-PBE.

Top 10 peaks for 2θ from 10° to 80°, sorted by position:
- d 3.538, 25.2 deg, I 20.1
- d 2.869, 31.2 deg, I 58.4
- d 2.699, 33.2 deg, I 100.0
- d 2.667, 33.6 deg, I 39.0
- d 2.247, 40.1 deg, I 88.1
- d 2.029, 44.7 deg, I 62.8
- d 1.651, 55.7 deg, I 34.6
- d 1.622, 56.8 deg, I 42.7
- d 1.280, 74.0 deg, I 29.4
- d 1.209, 79.2 deg, I 22.5

Crystal structure
```
CeMnGe
1.0
4.0580 0.0000 0.0000
0.0000 4.0580 0.0000
0.0000 0.0000 7.2269
Ce Mn Ge
2 2 2
direct
0.2500 0.2500 0.1706
0.7500 0.7500 0.8294
0.2500 0.7500 0.5000
0.7500 0.2500 0.5000
0.2500 0.2500 0.7029
0.7500 0.7500 0.2971
```

***

(2)
# Ce2NiGe3
Computed powder XRD pattern, Cu Kα X-rays. Input: a crystal structure in the Materials Project, relaxed with GGA-PBE.

Top 10 peaks for 2θ from 10° to 80°, sorted by position:
- d 3.588, 24.8 deg, I 6.7
- d 2.722, 32.9 deg, I 100.0
- d 2.085, 43.4 deg, I 13.9
- d 2.078, 43.6 deg, I 27.2
- d 2.068, 43.8 deg, I 13.4
- d 1.655, 55.5 deg, I 7.4
- d 1.648, 55.8 deg, I 14.4
- d 1.472, 63.2 deg, I 17.6
- d 1.468, 63.3 deg, I 8.7
- d 1.296, 73.0 deg, I 9.7

Crystal structure
```
Ce2NiGe3
1.0
4.1702 0.0000 0.0000
0.0000 7.2097 4.1365
0.0000 -7.2097 4.1365
Ce Ni Ge
4 2 6
direct
0.0000 0.0000 0.0000
0.0000 0.4983 0.4983
0.0000 0.4983 0.9967
0.0000 0.9967 0.4983
0.5000 0.1647 0.8319
0.5000 0.8319 0.1647
0.5000 0.1525 0.3254
0.5000 0.3254 0.1525
0.5000 0.3250 0.6706
0.5000 0.6706 0.3250
0.5000 0.6723 0.8441
0.5000 0.8441 0.6723
```

***

(3)
# Ce2NiGe6
Computed powder XRD pattern, Cu Kα X-rays. Input: a crystal structure in the Materials Project, relaxed with GGA-PBE.

Top 10 peaks for 2θ from 10° to 80°, sorted by position:
- d 2.725, 32.9 deg, I 36.0
- d 2.691, 33.3 deg, I 100.0
- d 2.475, 36.3 deg, I 12.1
- d 2.413, 37.3 deg, I 19.1
- d 2.121, 42.6 deg, I 12.5
- d 2.083, 43.5 deg, I 18.3
- d 2.059, 44.0 deg, I 24.4
- d 2.037, 44.5 deg, I 23.6
- d 1.632, 56.4 deg, I 15.2
- d 1.448, 64.3 deg, I 15.4

Crystal structure
```
Ce2NiGe6
1.0
4.1183 0.0000 0.0000
0.0000 2.0373 10.9042
0.0000 -2.0373 10.9042
Ce Ni Ge
2 1 6
direct
0.0000 0.0000 0.0000
0.0000 0.3319 0.3319
0.5000 0.7754 0.7754
0.0000 0.6052 0.6052
0.0000 0.7203 0.7203
0.5000 0.1041 0.1041
0.5000 0.2196 0.2196
0.5000 0.4524 0.4524
0.5000 0.8824 0.8824
```

***

(4)
# Ce3Ni2Ge7
Computed powder XRD pattern, Cu Kα X-rays. Input: a crystal structure in the Materials Project, relaxed with GGA-PBE.

Top 10 peaks for 2θ from 10° to 80°, sorted by position:
- d 3.001, 29.8 deg, I 13.8
- d 2.593, 34.6 deg, I 100.0
- d 2.543, 35.3 deg, I 18.9
- d 2.528, 35.5 deg, I 13.7
- d 2.317, 38.9 deg, I 12.7
- d 2.141, 42.2 deg, I 27.4
- d 2.131, 42.4 deg, I 27.0
- d 1.634, 56.3 deg, I 17.6
- d 1.511, 61.4 deg, I 17.6
- d 1.334, 70.6 deg, I 12.6

Crystal structure
```
Ce3Ni2Ge7
1.0
2.1312 -12.6400 0.0000
2.1312 12.6400 0.0000
0.0000 0.0000 4.2828
Ce Ni Ge
3 2 7
direct
0.0000 0.0000 0.0000
0.3151 0.6849 0.5000
0.6849 0.3151 0.5000
0.1287 0.8713 0.0000
0.8713 0.1287 0.0000
0.0884 0.9116 0.5000
0.2221 0.7779 0.0000
0.4118 0.5882 0.0000
0.5000 0.5000 0.5000
0.5882 0.4118 0.0000
0.7779 0.2221 0.0000
0.9116 0.0884 0.5000
```

***

(5)
# CeNiGe3
Computed powder XRD pattern, Cu Kα X-rays. Input: a crystal structure in the Materials Project, relaxed with GGA-PBE.

Top 10 peaks for 2θ from 10° to 80°, sorted by position:
- d 2.741, 32.7 deg, I 21.8
- d 2.728, 32.8 deg, I 100.0
- d 2.440, 36.8 deg, I 10.3
- d 2.094, 43.2 deg, I 19.4
- d 2.085, 43.4 deg, I 23.5
- d 2.076, 43.6 deg, I 23.2
- d 1.656, 55.5 deg, I 13.8
- d 1.477, 62.9 deg, I 12.3
- d 1.471, 63.2 deg, I 14.9
- d 1.297, 72.9 deg, I 8.7

Crystal structure
```
CeNiGe3
1.0
2.0764 -10.9098 0.0000
2.0764 10.9098 0.0000
0.0000 0.0000 4.1702
Ce Ni Ge
2 2 6
direct
0.1684 0.8316 0.0000
0.8316 0.1684 0.0000
0.3904 0.6096 0.5000
0.6096 0.3904 0.5000
0.0572 0.9428 0.5000
0.2835 0.7165 0.5000
0.4427 0.5573 0.0000
0.5573 0.4427 0.0000
0.7165 0.2835 0.5000
0.9428 0.0572 0.5000
```

***

(6)
# CeNi9Ge4
Computed powder XRD pattern, Cu Kα X-rays. Input: a crystal structure in the Materials Project, relaxed with GGA-PBE.

Top 10 peaks for 2θ from 10° to 80°, sorted by position:
- d 2.594, 34.6 deg, I 26.9
- d 2.532, 35.5 deg, I 23.6
- d 2.512, 35.7 deg, I 31.7
- d 2.355, 38.2 deg, I 53.0
- d 2.308, 39.0 deg, I 100.0
- d 1.954, 46.5 deg, I 66.1
- d 1.918, 47.4 deg, I 49.8
- d 1.901, 47.9 deg, I 54.8
- d 1.872, 48.6 deg, I 16.0
- d 1.643, 56.0 deg, I 17.9

Crystal structure
```
CeNi9Ge4
1.0
-3.9717 3.9717 5.8501
3.9717 -3.9717 5.8501
3.9717 3.9717 -5.8501
Ce Ni Ge
2 18 8
direct
0.2500 0.2500 0.0000
0.7500 0.7500 0.0000
0.0000 0.5000 0.5000
0.0585 0.5585 0.2544
0.0662 0.7964 0.8626
0.1959 0.9415 0.5000
0.2036 0.0662 0.2698
0.2964 0.5662 0.8626
0.3041 0.8041 0.7456
0.4338 0.2964 0.7302
0.4415 0.6959 0.5000
0.5000 0.0000 0.5000
0.5585 0.3041 0.5000
0.5662 0.7036 0.2698
0.6959 0.1959 0.2544
0.7036 0.4338 0.1374
0.7964 0.9338 0.7302
0.8041 0.0585 0.5000
0.9338 0.2036 0.1374
0.9415 0.4415 0.7456
0.0535 0.2021 0.5000
0.2021 0.7021 0.1486
0.2979 0.4465 0.5000
0.4465 0.9465 0.1486
0.5535 0.0535 0.8514
0.7021 0.5535 0.5000
0.7979 0.2979 0.8514
0.9465 0.7979 0.5000
```

***

(7)
# Ce2NiGe3
Computed powder XRD pattern, Cu Kα X-rays. Input: a crystal structure in the Materials Project, relaxed with GGA-PBE.

Top 10 peaks for 2θ from 10° to 80°, sorted by position:
- d 3.672, 24.2 deg, I 11.2
- d 2.694, 33.3 deg, I 100.0
- d 2.120, 42.6 deg, I 46.1
- d 1.981, 45.8 deg, I 11.7
- d 1.744, 52.5 deg, I 2.1
- d 1.666, 55.1 deg, I 23.3
- d 1.448, 64.4 deg, I 24.9
- d 1.310, 72.1 deg, I 20.6
- d 1.243, 76.7 deg, I 7.2
- d 1.224, 78.1 deg, I 7.6

Crystal structure
```
Ce2NiGe3
1.0
4.2404 0.0000 0.0000
-2.1202 3.6723 0.0000
0.0000 0.0000 7.9257
Ce Ni Ge
2 1 3
direct
0.0000 0.0000 0.2355
0.0000 0.0000 0.7645
0.3333 0.6667 0.0000
0.3333 0.6667 0.5000
0.6667 0.3333 0.0000
0.6667 0.3333 0.5000
```

***

(8)
# Ce3NiGe2
Computed powder XRD pattern, Cu Kα X-rays. Input: a crystal structure in the Materials Project, relaxed with GGA-PBE.

Top 10 peaks for 2θ from 10° to 80°, sorted by position:
- d 3.273, 27.2 deg, I 32.4
- d 3.239, 27.5 deg, I 40.2
- d 2.931, 30.5 deg, I 47.7
- d 2.856, 31.3 deg, I 34.4
- d 2.815, 31.8 deg, I 100.0
- d 2.782, 32.2 deg, I 39.9
- d 2.769, 32.3 deg, I 33.6
- d 2.563, 35.0 deg, I 93.2
- d 2.360, 38.1 deg, I 40.2
- d 2.096, 43.2 deg, I 55.6

Crystal structure
```
Ce3NiGe2
1.0
11.8020 0.0000 0.0000
0.0000 4.1920 0.0000
0.0000 0.0000 11.3949
Ce Ni Ge
12 4 8
direct
0.0547 0.2500 0.1223
0.1188 0.7500 0.5588
0.2170 0.2500 0.7969
0.2830 0.7500 0.2969
0.3812 0.2500 0.0588
0.4453 0.7500 0.6223
0.5547 0.2500 0.3777
0.6188 0.7500 0.9412
0.7170 0.2500 0.7031
0.7830 0.7500 0.2031
0.8812 0.2500 0.4412
0.9453 0.7500 0.8777
0.1286 0.2500 0.3688
0.3714 0.7500 0.8688
0.6286 0.2500 0.1312
0.8714 0.7500 0.6312
0.0236 0.7500 0.3116
0.1970 0.7500 0.9953
0.3030 0.2500 0.4953
0.4764 0.2500 0.8116
0.5236 0.7500 0.1884
0.6970 0.7500 0.5047
0.8030 0.2500 0.0047
0.9764 0.2500 0.6884
```

***

(9)
# Ce11Ni4Ge6
Computed powder XRD pattern, Cu Kα X-rays. Input: a crystal structure in the Materials Project, relaxed with GGA-PBE.

Top 10 peaks for 2θ from 10° to 80°, sorted by position:
- d 3.101, 28.8 deg, I 37.5
- d 2.942, 30.4 deg, I 39.0
- d 2.887, 31.0 deg, I 42.0
- d 2.813, 31.8 deg, I 100.0
- d 2.684, 33.4 deg, I 57.1
- d 2.651, 33.8 deg, I 60.7
- d 2.616, 34.3 deg, I 34.4
- d 2.597, 34.5 deg, I 54.9
- d 2.490, 36.1 deg, I 48.8
- d 2.116, 42.7 deg, I 71.9

Crystal structure
```
Ce11Ni4Ge6
1.0
8.9156 -2.1156 0.0000
8.9156 2.1156 0.0000
-4.0721 0.0000 13.0702
Ce Ni Ge
11 4 6
direct
0.0000 0.0000 0.0000
0.0964 0.0964 0.2830
0.1424 0.1424 0.8486
0.2162 0.2162 0.5998
0.3416 0.3416 0.9073
0.4499 0.4499 0.3721
0.5501 0.5501 0.6279
0.6584 0.6584 0.0927
0.7838 0.7838 0.4002
0.8576 0.8576 0.1514
0.9036 0.9036 0.7170
0.0600 0.0600 0.4751
0.2478 0.2478 0.0493
0.7522 0.7522 0.9507
0.9400 0.9400 0.5249
0.2628 0.2628 0.2363
0.3710 0.3710 0.5491
0.4857 0.4857 0.1512
0.5143 0.5143 0.8488
0.6290 0.6290 0.4509
0.7372 0.7372 0.7637
```

***

(10)
# Ce5NiGe2
Computed powder XRD pattern, Cu Kα X-rays. Input: a crystal structure in the Materials Project, relaxed with GGA-PBE.

Top 10 peaks for 2θ from 10° to 80°, sorted by position:
- d 3.115, 28.7 deg, I 31.9
- d 2.954, 30.3 deg, I 19.5
- d 2.817, 31.8 deg, I 59.0
- d 2.697, 33.2 deg, I 42.2
- d 2.625, 34.2 deg, I 26.2
- d 2.559, 35.1 deg, I 55.7
- d 2.528, 35.5 deg, I 100.0
- d 2.440, 36.8 deg, I 22.2
- d 1.776, 51.4 deg, I 27.1
- d 1.618, 56.9 deg, I 26.3

Crystal structure
```
Ce5NiGe2
1.0
11.4444 0.0000 0.0000
0.0000 11.4444 0.0000
0.0000 0.0000 6.1157
Ce Ni Ge
20 4 8
direct
0.0384 0.1704 0.1704
0.0384 0.3296 0.6704
0.1704 0.0384 0.6704
0.1704 0.4616 0.1704
0.2500 0.7500 0.0000
0.2500 0.7500 0.5000
0.3296 0.0384 0.1704
0.3296 0.4616 0.6704
0.4616 0.1704 0.6704
0.4616 0.3296 0.1704
0.5384 0.6704 0.8296
0.5384 0.8296 0.3296
0.6704 0.5384 0.3296
0.6704 0.9616 0.8296
0.7500 0.2500 0.0000
0.7500 0.2500 0.5000
0.8296 0.5384 0.8296
0.8296 0.9616 0.3296
0.9616 0.6704 0.3296
0.9616 0.8296 0.8296
0.2500 0.2500 0.4295
0.2500 0.2500 0.9295
0.7500 0.7500 0.0705
0.7500 0.7500 0.5705
0.0869 0.5869 0.7500
0.0869 0.9131 0.2500
0.4131 0.5869 0.2500
0.4131 0.9131 0.7500
0.5869 0.0869 0.2500
0.5869 0.4131 0.7500
0.9131 0.0869 0.7500
0.9131 0.4131 0.2500
```

***

(11)
# Ce2Ge3O9
Computed powder XRD pattern, Cu Kα X-rays. Input: a crystal structure in the Materials Project, relaxed with GGA-PBE.

Top 10 peaks for 2θ from 10° to 80°, sorted by position:
- d 3.174, 28.1 deg, I 27.7
- d 3.155, 28.3 deg, I 85.4
- d 3.127, 28.5 deg, I 71.4
- d 3.094, 28.9 deg, I 100.0
- d 3.026, 29.5 deg, I 63.0
- d 2.885, 31.0 deg, I 43.1
- d 2.779, 32.2 deg, I 74.7
- d 2.709, 33.1 deg, I 26.5
- d 2.450, 36.7 deg, I 24.9
- d 1.873, 48.6 deg, I 24.4

Crystal structure
```
Ce2Ge3O9
1.0
5.7718 0.0000 0.0000
-0.2018 7.7653 0.0000
-2.7891 -2.6943 7.8941
Ce Ge O
4 6 18
direct
0.1324 0.1969 0.2183
0.1902 0.8184 0.4176
0.8098 0.1816 0.5824
0.8676 0.8031 0.7817
0.2374 0.5132 0.0023
0.3355 0.4861 0.6579
0.4278 0.0743 0.8524
0.5722 0.9257 0.1476
0.6645 0.5139 0.3421
0.7626 0.4868 0.9977
0.0101 0.6769 0.0442
0.1191 0.0122 0.6937
0.1265 0.5165 0.7745
0.1742 0.2872 0.4987
0.2877 0.9933 0.9990
0.3517 0.5379 0.2380
0.3977 0.6840 0.6164
0.4188 0.9712 0.3080
0.4684 0.3272 0.9544
0.5316 0.6728 0.0456
0.5812 0.0288 0.6920
0.6023 0.3160 0.3836
0.6483 0.4621 0.7620
0.7123 0.0067 0.0010
0.8258 0.7128 0.5013
0.8735 0.4835 0.2255
0.8809 0.9878 0.3063
0.9899 0.3231 0.9558
```